# RhSe3
Simulated powder diffraction line list, Cu Kα. Input: a DFT-relaxed cell (GGA-PBE, Alexandria).
Kinematic intensities with the Lorentz-polarization factor, no thermal factor.

Most intense lines, 15° ≤ 2θ ≤ 90°, in order of falling intensity:
d = 3.114 Å, intensity 100; d = 2.145 Å, intensity 71; d = 1.872 Å, intensity 55; d = 2.643 Å, intensity 43; d = 1.868 Å, intensity 31; d = 1.863 Å, intensity 19; d = 3.200 Å, intensity 14; d = 3.818 Å, intensity 14; d = 1.407 Å, intensity 12; d = 1.126 Å, intensity 12

Atomic structure:
```
4
Lattice="3.2455 -1.8632 0.0000 3.2455 1.8632 0.0000 -2.1738 0.0000 7.6365" Properties=species:S:1:pos:R:3 pbc="T T T"
Rh 0.0000 0.0000 0.0000
Se 2.1580 0.0000 1.2781
Se 2.1586 0.0000 3.8183
Se 2.1593 0.0000 6.3584
```